[1]
This entry pairs a crystal structure of TbPaGa6 with its computed powder X-ray diffraction pattern. Radiation: λ = 1.5418 Å (Cu Kα). Structure: a cell relaxed with PBE.

Lattice parameters (Å, degrees): 6.2801 6.2801 4.5638 90.00 90.00 120.00
Positions (direct):
Tb: 0.0000 0.0000 0.0000
Pa: 0.6667 0.3333 0.5000
Ga: 0.0388 0.5194 0.0000
Ga: 0.1844 0.3688 0.5000
Ga: 0.1844 0.8156 0.5000
Ga: 0.4806 0.5194 0.0000
Ga: 0.4806 0.9612 0.0000
Ga: 0.6312 0.8156 0.5000

Main lines, in order of rising 2θ (2θ from 10° to 90°):
25.48 deg, I = 34
28.42 deg, I = 15
32.94 deg, I = 26
38.54 deg, I = 100
39.49 deg, I = 22
52.34 deg, I = 14
58.82 deg, I = 17
70.99 deg, I = 16
72.54 deg, I = 13
73.17 deg, I = 18



[2]
This entry pairs a crystal structure of Pa12GaTc7 with its computed powder X-ray diffraction pattern. Radiation: λ = 1.5418 Å (Cu Kα). Structure: a cell relaxed with PBE.

Lattice parameters (Å, degrees): 8.7082 8.7082 8.7082 109.47 109.47 109.47
Positions (direct):
Pa: 0.1261 0.3162 0.8098
Pa: 0.1902 0.5064 0.3162
Pa: 0.1902 0.8739 0.6838
Pa: 0.3162 0.1902 0.5064
Pa: 0.3162 0.8098 0.1261
Pa: 0.4936 0.6838 0.8098
Pa: 0.5064 0.3162 0.1902
Pa: 0.6838 0.1902 0.8739
Pa: 0.6838 0.8098 0.4936
Pa: 0.8098 0.1261 0.3162
Pa: 0.8098 0.4936 0.6838
Pa: 0.8739 0.6838 0.1902
Ga: 0.0000 0.0000 0.0000
Tc: 0.0000 0.0000 0.5000
Tc: 0.0000 0.5000 0.0000
Tc: 0.0000 0.5000 0.5000
Tc: 0.5000 0.0000 0.0000
Tc: 0.5000 0.0000 0.5000
Tc: 0.5000 0.5000 0.0000
Tc: 0.5000 0.5000 0.5000

Main lines, in order of rising 2θ (2θ from 10° to 90°):
28.06 deg, I = 100
30.80 deg, I = 30
33.34 deg, I = 65
35.72 deg, I = 24
42.15 deg, I = 18
44.12 deg, I = 30
53.11 deg, I = 43
56.41 deg, I = 39
81.17 deg, I = 32
82.53 deg, I = 16